1.
For LiNdInCu, a PBE-relaxed structure gives the calculated powder diffractogram in this record (a wavelength of 1.5418 Å).
Neutral-atom scattering factors, no anomalous dispersion.

Cell and atoms:
Cell lengths 6.846, 6.846, 6.846 Å; angles 90.00, 90.00, 90.00 degrees
Fractional coordinates of all 16 atoms:
Li1 0.000 0.000 0.000
Li2 0.000 0.500 0.500
Li3 0.500 0.000 0.500
Li4 0.500 0.500 0.000
Nd1 0.250 0.250 0.250
Nd2 0.250 0.750 0.750
Nd3 0.750 0.250 0.750
Nd4 0.750 0.750 0.250
In1 0.250 0.250 0.750
In2 0.250 0.750 0.250
In3 0.750 0.250 0.250
In4 0.750 0.750 0.750
Cu1 0.000 0.000 0.500
Cu2 0.000 0.500 0.000
Cu3 0.500 0.000 0.000
Cu4 0.500 0.500 0.500

Largest 10 diffraction maxima, in order of rising 2θ, 2θ = 10–90°:
22.5 deg, I = 11, (1 1 1)
26.0 deg, I = 39, (2 0 0)
37.1 deg, I = 100, (2 2 0)
43.9 deg, I = 5, (3 1 1)
45.9 deg, I = 11, (2 2 2)
53.5 deg, I = 17, (4 0 0)
60.5 deg, I = 15, (4 2 0)
67.0 deg, I = 34, (4 2 2)
79.1 deg, I = 10, (4 4 0)
85.0 deg, I = 8, (6 0 0)


2.
For GdThCu2, a PBE-relaxed structure gives the calculated powder diffractogram in this record (a wavelength of 1.5418 Å).
Neutral-atom scattering factors, no anomalous dispersion.

Cell and atoms:
Cell lengths 7.093, 7.093, 7.093 Å; angles 90.00, 90.00, 90.00 degrees
Fractional coordinates of all 16 atoms:
Gd1 0.000 0.000 0.000
Gd2 0.000 0.500 0.500
Gd3 0.500 0.000 0.500
Gd4 0.500 0.500 0.000
Th1 0.000 0.000 0.500
Th2 0.000 0.500 0.000
Th3 0.500 0.000 0.000
Th4 0.500 0.500 0.500
Cu1 0.250 0.250 0.250
Cu2 0.250 0.250 0.750
Cu3 0.250 0.750 0.250
Cu4 0.250 0.750 0.750
Cu5 0.750 0.250 0.250
Cu6 0.750 0.250 0.750
Cu7 0.750 0.750 0.250
Cu8 0.750 0.750 0.750

Largest 10 diffraction maxima, in order of rising 2θ, 2θ = 10–90°:
21.7 deg, I = 4, (1 1 1)
25.1 deg, I = 26, (2 0 0)
35.8 deg, I = 100, (2 2 0)
44.2 deg, I = 8, (2 2 2)
51.5 deg, I = 18, (4 0 0)
58.2 deg, I = 11, (4 2 0)
64.3 deg, I = 36, (4 2 2)
75.9 deg, I = 11, (4 4 0)
81.4 deg, I = 6, (6 0 0)
86.9 deg, I = 16, (6 2 0)